[1]
SrMgSi2: computed X-ray powder pattern (Cu Ka), based on DFT lattice parameters and positions (PBE).
Lines closer than 0.1° are merged.

Most intense lines, 15 to 90 degrees two-theta, sorted by position:
28.30°, I 43
31.25°, I 31
31.53°, I 30
32.00°, I 100
33.37°, I 35
40.67°, I 41
45.33°, I 32
61.85°, I 21

Crystal structure
Cell: 14.413 4.438 11.450 Å, 90.00 90.00 90.00°
Element x y z (fractional)
Sr 0.062 0.250 0.241
Sr 0.196 0.750 0.977
Sr 0.304 0.250 0.477
Sr 0.438 0.750 0.741
Sr 0.562 0.250 0.259
Sr 0.696 0.750 0.523
Sr 0.804 0.250 0.023
Sr 0.938 0.750 0.759
Mg 0.060 0.250 0.558
Mg 0.190 0.750 0.680
Mg 0.310 0.250 0.180
Mg 0.440 0.750 0.058
Mg 0.560 0.250 0.942
Mg 0.690 0.750 0.820
Mg 0.810 0.250 0.320
Mg 0.940 0.750 0.442
Si 0.033 0.250 0.972
Si 0.107 0.250 0.788
Si 0.132 0.750 0.452
Si 0.223 0.750 0.274
Si 0.277 0.250 0.774
Si 0.368 0.250 0.952
Si 0.393 0.750 0.288
Si 0.467 0.750 0.472
Si 0.533 0.250 0.528
Si 0.607 0.250 0.712
Si 0.632 0.750 0.048
Si 0.723 0.750 0.226
Si 0.777 0.250 0.726
Si 0.868 0.250 0.548
Si 0.893 0.750 0.212
Si 0.967 0.750 0.028


[2]
K2OsBr6: computed X-ray powder pattern (Cu Ka), based on DFT lattice parameters and positions (PBE).
Lines closer than 0.1° are merged.

Most intense lines, 15 to 90 degrees two-theta, sorted by position:
16.84°, I 71
28.10°, I 35
29.38°, I 52
34.05°, I 100
38.22°, I 36
44.71°, I 25
48.93°, I 69
81.80°, I 29

Crystal structure
Cell: 7.447 7.447 7.447 Å, 60.00 60.00 60.00°
Element x y z (fractional)
K 0.250 0.250 0.250
K 0.750 0.750 0.750
Os 0.000 0.000 0.000
Br 0.238 0.238 0.762
Br 0.238 0.762 0.238
Br 0.238 0.762 0.762
Br 0.762 0.238 0.238
Br 0.762 0.238 0.762
Br 0.762 0.762 0.238